# 1
Starting from a cell relaxed with PBE, the X-ray diffraction stick pattern of LiPbF3 was computed for copper Kα.
Kinematic intensities with the Lorentz-polarization factor, no thermal factor.

Most intense lines, 2θ = 5–70°, sorted by position:
2θ/deg	Rel. int.	index
16.8	100	0 0 1
22.6	32	0 1 1
25.0	82	1 1 0
28.4	77	1 1 -1
30.4	34	0 2 0
34.9	41	0 2 1
37.3	31	0 1 2
41.8	28	1 2 1

Atomic structure:
Cell: 4.5319 5.8861 5.3532 Å, 90.00 98.96 90.00°
Fractional coordinates of all 10 atoms:
Li  0.0742  0.0000  0.4518
Li  0.9258  0.5000  0.5482
Pb  0.3129  0.5834  0.0882
Pb  0.6871  0.0834  0.9118
F  0.2086  0.2398  0.7081
F  0.2206  0.7478  0.6886
F  0.2582  0.9825  0.1502
F  0.7418  0.4825  0.8498
F  0.7794  0.2478  0.3114
F  0.7914  0.7398  0.2919

***

# 2
Starting from a cell relaxed with PBE, the X-ray diffraction stick pattern of Li2PdPbF8 was computed for copper Kα.
Kinematic intensities with the Lorentz-polarization factor, no thermal factor.

Most intense lines, 2θ = 5–70°, sorted by position:
2θ/deg	Rel. int.	index
18.7	100	1 0 0
24.8	12	0 0 2
31.3	44	1 0 2
32.7	27	1 1 0
41.5	34	1 1 2
45.8	23	2 0 2
50.9	15	0 0 4
57.4	19	2 1 2

Atomic structure:
Cell: 5.4804 5.4804 7.1750 Å, 90.00 90.00 120.00°
Fractional coordinates of all 12 atoms:
Li  0.3333  0.6667  0.2261
Li  0.6667  0.3333  0.7739
Pd  0.0000  0.0000  0.5000
Pb  0.0000  0.0000  0.0000
F  0.1545  0.3091  0.3230
F  0.1545  0.8455  0.3230
F  0.3091  0.1545  0.6770
F  0.3333  0.6667  0.9803
F  0.6667  0.3333  0.0197
F  0.6909  0.8455  0.3230
F  0.8455  0.1545  0.6770
F  0.8455  0.6909  0.6770

***

# 3
Starting from a cell relaxed with PBE, the X-ray diffraction stick pattern of LiPdPbF6 was computed for copper Kα.
Kinematic intensities with the Lorentz-polarization factor, no thermal factor.

Most intense lines, 2θ = 5–70°, sorted by position:
2θ/deg	Rel. int.	index
19.2	88	1 0 1
24.4	100	1 1 0
29.9	33	1 1 2
31.2	79	1 0 3
40.0	32	2 1 1
47.3	80	2 1 3
49.9	28	2 2 0
60.0	31	3 0 3

Atomic structure:
Cell: 5.1690 5.1690 10.3490 Å, 90.00 90.00 90.00°
Fractional coordinates of all 18 atoms:
Li  0.0000  0.0000  0.0000
Li  0.5000  0.5000  0.5000
Pd  0.0000  0.0000  0.3174
Pd  0.5000  0.5000  0.8174
Pb  0.0000  0.0000  0.6477
Pb  0.5000  0.5000  0.1477
F  0.1734  0.1734  0.1513
F  0.2063  0.2063  0.4645
F  0.2305  0.2305  0.8231
F  0.2695  0.7305  0.3231
F  0.2937  0.7063  0.9645
F  0.3266  0.6734  0.6513
F  0.6734  0.3266  0.6513
F  0.7063  0.2937  0.9645
F  0.7305  0.2695  0.3231
F  0.7695  0.7695  0.8231
F  0.7937  0.7937  0.4645
F  0.8266  0.8266  0.1513

***

# 4
Starting from a cell relaxed with PBE, the X-ray diffraction stick pattern of RbLiPbF4 was computed for copper Kα.
Kinematic intensities with the Lorentz-polarization factor, no thermal factor.

Most intense lines, 2θ = 5–70°, sorted by position:
2θ/deg	Rel. int.	index
12.1	95	0 0 1
16.1	34	1 0 0
23.0	96	1 1 -1
24.3	33	0 0 2
27.0	84	1 1 1
29.7	100	0 2 0
35.1	30	2 1 -1
38.8	40	0 2 2

Atomic structure:
Cell: 5.6892 6.0165 7.5491 Å, 90.00 104.35 90.00°
Fractional coordinates of all 14 atoms:
Rb  0.1655  0.2500  0.0906
Rb  0.8345  0.7500  0.9094
Li  0.3660  0.2500  0.7097
Li  0.6340  0.7500  0.2903
Pb  0.1918  0.7500  0.4689
Pb  0.8082  0.2500  0.5311
F  0.1497  0.0150  0.7240
F  0.1497  0.4850  0.7240
F  0.3052  0.7500  0.1762
F  0.3631  0.2500  0.4590
F  0.6369  0.7500  0.5410
F  0.6948  0.2500  0.8238
F  0.8503  0.5150  0.2760
F  0.8503  0.9850  0.2760

***

# 5
Starting from a cell relaxed with PBE, the X-ray diffraction stick pattern of Li2RuPbF8 was computed for copper Kα.
Kinematic intensities with the Lorentz-polarization factor, no thermal factor.

Most intense lines, 2θ = 5–70°, sorted by position:
2θ/deg	Rel. int.	index
18.2	100	0 1 0
18.5	95	1 0 0
24.2	66	1 1 0
24.7	54	0 0 2
27.9	44	1 -1 0
29.9	30	0 1 2
37.5	42	-1 1 2
37.7	35	1 -1 2

Atomic structure:
Cell: 4.8460 4.9262 7.2442 Å, 85.71 85.98 81.76°
Fractional coordinates of all 12 atoms:
Li  0.0264  0.0257  0.2933
Li  0.9736  0.9743  0.7067
Ru  0.5000  0.5000  0.0000
Pb  0.5000  0.5000  0.5000
F  0.1698  0.1776  0.5016
F  0.2403  0.2463  0.0307
F  0.2891  0.7121  0.7967
F  0.2893  0.7137  0.2009
F  0.7107  0.2863  0.7991
F  0.7109  0.2879  0.2033
F  0.7597  0.7537  0.9693
F  0.8302  0.8224  0.4984

***

# 6
Starting from a cell relaxed with PBE, the X-ray diffraction stick pattern of Li2TlPbF8 was computed for copper Kα.
Kinematic intensities with the Lorentz-polarization factor, no thermal factor.

Most intense lines, 2θ = 5–70°, sorted by position:
2θ/deg	Rel. int.	index
17.1	100	0 1 0
23.1	99	1 0 0
26.6	40	1 1 0
27.3	38	0 1 2
30.3	28	0 1 -2
30.9	26	1 -1 0
47.2	26	0 0 4
53.2	27	1 0 4

Atomic structure:
Cell: 3.8964 5.2934 7.7476 Å, 83.73 88.92 81.14°
Fractional coordinates of all 12 atoms:
Li  0.0697  0.0520  0.2927
Li  0.9303  0.9480  0.7073
Tl  0.5000  0.5000  0.5000
Pb  0.5000  0.5000  0.0000
F  0.0553  0.2590  0.0482
F  0.0557  0.2449  0.5163
F  0.4197  0.7456  0.2360
F  0.4365  0.7604  0.7153
F  0.5635  0.2396  0.2847
F  0.5803  0.2544  0.7640
F  0.9443  0.7551  0.4837
F  0.9447  0.7410  0.9518